Theoretical PXRD pattern of Ac3SmY for Cu Ka, from a structure optimized by DFT (PBE).

Peak list (10 most intense, 2θ = 5–70°, in order of rising 2θ)
| two_theta | I (rel.) | h k l |
| --- | --- | --- |
| 24.2 | 27 | 1 0 3 |
| 26.0 | 100 | 1 1 3 |
| 26.9 | 28 | 1 2 2 |
| 28.7 | 60 | 2 1 0 |
| 29.2 | 58 | 0 3 1 |
| 30.8 | 74 | 1 2 3 |
| 31.6 | 35 | 1 1 4 |
| 46.2 | 25 | 3 0 3 |
| 50.6 | 23 | 2 1 6 |
| 58.3 | 23 | 3 3 4 |

Structure:
abc: 6.5804 9.4184 13.3111
angles: 90.00 90.00 90.00
Fractional positions:
Ac 0.0895 0.1736 0.0706
Ac 0.0895 0.3264 0.4294
Ac 0.1458 0.2500 0.7500
Ac 0.3542 0.7500 0.7500
Ac 0.4105 0.6736 0.4294
Ac 0.4105 0.8264 0.0706
Ac 0.5895 0.1736 0.9294
Ac 0.5895 0.3264 0.5706
Ac 0.6458 0.2500 0.2500
Ac 0.8542 0.7500 0.2500
Ac 0.9105 0.6736 0.5706
Ac 0.9105 0.8264 0.9294
Sm 0.2500 0.0000 0.5573
Sm 0.2500 0.5000 0.9427
Sm 0.7500 0.0000 0.4427
Sm 0.7500 0.5000 0.0573
Y 0.2500 0.0000 0.3039
Y 0.2500 0.5000 0.1961
Y 0.7500 0.0000 0.6961
Y 0.7500 0.5000 0.8039


Theoretical PXRD pattern of PmScCu2 for Cu Ka, from a structure optimized by DFT (PBE).

Peak list (10 most intense, 2θ = 5–70°, in order of rising 2θ)
| two_theta | I (rel.) | h k l |
| --- | --- | --- |
| 23.2 | 62 | 1 0 1 |
| 25.9 | 12 | 0 1 2 |
| 34.8 | 96 | 1 0 4 |
| 39.0 | 100 | 1 1 0 |
| 40.3 | 44 | 0 1 5 |
| 45.9 | 11 | 0 2 1 |
| 53.3 | 27 | 0 2 4 |
| 57.2 | 16 | 1 1 6 |
| 57.4 | 15 | 2 0 5 |
| 68.0 | 26 | 2 1 4 |

Structure:
abc: 4.6153 4.6153 13.4911
angles: 90.00 90.00 120.00
Fractional positions:
Pm 0.0000 0.0000 0.0000
Pm 0.3333 0.6667 0.6667
Pm 0.6667 0.3333 0.3333
Sc 0.0000 0.0000 0.5000
Sc 0.3333 0.6667 0.1667
Sc 0.6667 0.3333 0.8333
Cu 0.0000 0.0000 0.2135
Cu 0.0000 0.0000 0.7865
Cu 0.3333 0.6667 0.4532
Cu 0.3333 0.6667 0.8802
Cu 0.6667 0.3333 0.1198
Cu 0.6667 0.3333 0.5468


Theoretical PXRD pattern of KNaSr6 for Cu Ka, from a structure optimized by DFT (PBE).

Peak list (10 most intense, 2θ = 5–70°, in order of rising 2θ)
| two_theta | I (rel.) | h k l |
| --- | --- | --- |
| 7.1 | 16 | 0 0 2 |
| 25.7 | 100 | 1 1 4 |
| 28.8 | 19 | 0 0 8 |
| 30.2 | 33 | 2 0 0 |
| 42.2 | 26 | 2 0 8 |
| 43.2 | 12 | 2 2 0 |
| 49.2 | 17 | 1 1 12 |
| 50.9 | 29 | 3 1 4 |
| 52.8 | 13 | 2 2 8 |
| 67.5 | 13 | 3 1 12 |

Structure:
abc: 5.9240 5.9240 24.7850
angles: 90.00 90.00 90.00
Fractional positions:
K 0.0000 0.0000 0.0000
K 0.5000 0.5000 0.5000
Na 0.0000 0.0000 0.5000
Na 0.5000 0.5000 0.0000
Sr 0.0000 0.0000 0.2493
Sr 0.0000 0.0000 0.7507
Sr 0.0000 0.5000 0.1261
Sr 0.0000 0.5000 0.3739
Sr 0.0000 0.5000 0.6261
Sr 0.0000 0.5000 0.8739
Sr 0.5000 0.0000 0.1261
Sr 0.5000 0.0000 0.3739
Sr 0.5000 0.0000 0.6261
Sr 0.5000 0.0000 0.8739
Sr 0.5000 0.5000 0.2507
Sr 0.5000 0.5000 0.7493


Question: Number 1 is which compound?
Answer: Ac3SmY


Please write out number 2 again, unchanged.
Theoretical PXRD pattern of PmScCu2 for Cu Ka, from a structure optimized by DFT (PBE).

Peak list (10 most intense, 2θ = 5–70°, in order of rising 2θ)
| two_theta | I (rel.) | h k l |
| --- | --- | --- |
| 23.2 | 62 | 1 0 1 |
| 25.9 | 12 | 0 1 2 |
| 34.8 | 96 | 1 0 4 |
| 39.0 | 100 | 1 1 0 |
| 40.3 | 44 | 0 1 5 |
| 45.9 | 11 | 0 2 1 |
| 53.3 | 27 | 0 2 4 |
| 57.2 | 16 | 1 1 6 |
| 57.4 | 15 | 2 0 5 |
| 68.0 | 26 | 2 1 4 |

Structure:
abc: 4.6153 4.6153 13.4911
angles: 90.00 90.00 120.00
Fractional positions:
Pm 0.0000 0.0000 0.0000
Pm 0.3333 0.6667 0.6667
Pm 0.6667 0.3333 0.3333
Sc 0.0000 0.0000 0.5000
Sc 0.3333 0.6667 0.1667
Sc 0.6667 0.3333 0.8333
Cu 0.0000 0.0000 0.2135
Cu 0.0000 0.0000 0.7865
Cu 0.3333 0.6667 0.4532
Cu 0.3333 0.6667 0.8802
Cu 0.6667 0.3333 0.1198
Cu 0.6667 0.3333 0.5468